Computed powder XRD pattern
Compound: TbMgAgTe2Se
Radiation: λ = 1.5418 Å (Cu Kα)
Structure: the GGA-PBE geometry in OQMD
No peak broadening, texture or thermal motion is included.

Cell and atoms:
Lattice parameters (Å, degrees): 4.127 13.973 10.963 90.00 90.00 90.00
Space group Cmcm (No. 63)
One atom of each set of equivalent atoms:
Tb 0.000 0.000 0.000 (multiplicity 4)
Mg 0.000 0.254 0.250 (multiplicity 4)
Ag 0.000 0.484 0.750 (multiplicity 4)
Te 0.000 0.346 0.569 (multiplicity 8)
Se 0.000 0.108 0.750 (multiplicity 4)

The 8 most intense peaks (10° ≤ 2θ ≤ 90°), sorted by position:
Position (°2θ)	d (Å)	Rel. int.	index
12.7	6.986	30	0 2 0
23.9	3.723	15	1 1 1
27.5	3.238	28	0 2 3
28.9	3.089	21	1 3 0
33.3	2.690	100	1 3 2
35.2	2.551	14	0 2 4
42.4	2.132	22	1 5 2
43.9	2.064	19	2 0 0